For CsRbAgSb, a DFT-relaxed cell (PBE, OQMD) gives the simulated powder diffractogram in this record (Cu Kα).
Peak positions follow from Bragg's law for the DFT cell and can differ from measured ones.

Crystal structure
```
data_CsRbAgSb
_chemical_formula_sum 'Cs4 Rb4 Ag4 Sb4'
_cell_length_a 6.8065
_cell_length_b 11.4435
_cell_length_c 8.4849
_cell_angle_alpha 90.00
_cell_angle_beta 90.00
_cell_angle_gamma 90.00
_symmetry_space_group_name_H-M 'P 1'
_symmetry_Int_Tables_number 1
loop_
_symmetry_equiv_pos_as_xyz
'x,y,z'
loop_
_atom_site_label
_atom_site_type_symbol
_atom_site_fract_x
_atom_site_fract_y
_atom_site_fract_z
Cs1 Cs 0.0000 0.1698 0.0000
Cs2 Cs 0.0000 0.3302 0.5000
Cs3 Cs 0.0000 0.6698 0.5000
Cs4 Cs 0.0000 0.8302 0.0000
Rb1 Rb 0.5000 0.1685 0.3099
Rb2 Rb 0.5000 0.3315 0.8099
Rb3 Rb 0.5000 0.6685 0.8099
Rb4 Rb 0.5000 0.8315 0.3099
Ag1 Ag 0.2506 0.0000 0.6522
Ag2 Ag 0.2506 0.5000 0.1522
Ag3 Ag 0.7494 0.0000 0.6522
Ag4 Ag 0.7494 0.5000 0.1522
Sb1 Sb 0.0000 0.0000 0.4017
Sb2 Sb 0.0000 0.5000 0.9017
Sb3 Sb 0.5000 0.0000 0.9035
Sb4 Sb 0.5000 0.5000 0.4035
```

Largest 10 diffraction maxima, by angle, 10° ≤ 2θ ≤ 90°:
(hkl), Position (°2θ), d_spacing, I_rel
1 0 2, 24.73, 3.600, 33.0
0 3 1, 25.60, 3.479, 42.0
2 0 0, 26.18, 3.404, 19.0
1 3 1, 28.82, 3.098, 100.0
2 1 1, 29.33, 3.045, 44.3
0 1 3, 32.61, 2.746, 18.9
2 0 2, 33.76, 2.655, 36.0
2 2 2, 37.34, 2.408, 20.7
3 3 1, 47.86, 1.900, 24.1
2 3 3, 48.16, 1.889, 29.9

For CsRbAgSb, a DFT-relaxed cell (PBE, OQMD) gives the simulated powder diffractogram in this record (Cu Kα).
Peak positions follow from Bragg's law for the DFT cell and can differ from measured ones.

Crystal structure
```
data_CsRbAgSb
_chemical_formula_sum 'Cs4 Rb4 Ag4 Sb4'
_cell_length_a 6.8062
_cell_length_b 8.4949
_cell_length_c 11.4174
_cell_angle_alpha 90.00
_cell_angle_beta 90.00
_cell_angle_gamma 90.00
_symmetry_space_group_name_H-M 'P 1'
_symmetry_Int_Tables_number 1
loop_
_symmetry_equiv_pos_as_xyz
'x,y,z'
loop_
_atom_site_label
_atom_site_type_symbol
_atom_site_fract_x
_atom_site_fract_y
_atom_site_fract_z
Cs1 Cs 0.2500 0.1543 0.0000
Cs2 Cs 0.2500 0.6543 0.5000
Cs3 Cs 0.7500 0.3457 0.5000
Cs4 Cs 0.7500 0.8457 0.0000
Rb1 Rb 0.2500 0.1555 0.3382
Rb2 Rb 0.2500 0.6555 0.8382
Rb3 Rb 0.7500 0.3445 0.8382
Rb4 Rb 0.7500 0.8445 0.3382
Ag1 Ag 0.0000 0.0000 0.6721
Ag2 Ag 0.0000 0.5000 0.1721
Ag3 Ag 0.5000 0.0000 0.6721
Ag4 Ag 0.5000 0.5000 0.1721
Sb1 Sb 0.2500 0.2507 0.6663
Sb2 Sb 0.2500 0.7507 0.1663
Sb3 Sb 0.7500 0.2493 0.1663
Sb4 Sb 0.7500 0.7493 0.6663
```

Largest 10 diffraction maxima, by angle, 10° ≤ 2θ ≤ 90°:
(hkl), Position (°2θ), d_spacing, I_rel
0 0 2, 15.52, 5.709, 19.3
1 2 0, 24.71, 3.603, 33.3
0 1 3, 25.65, 3.473, 41.3
1 1 3, 28.86, 3.094, 100.0
2 1 1, 29.33, 3.045, 45.8
0 3 1, 32.58, 2.748, 19.5
2 2 0, 33.75, 2.656, 36.0
2 2 2, 37.34, 2.408, 20.6
0 0 6, 47.86, 1.901, 37.7
2 3 3, 48.16, 1.889, 30.5

Please write out number 2 again, unchanged.
For CsRbAgSb, a DFT-relaxed cell (PBE, OQMD) gives the simulated powder diffractogram in this record (Cu Kα).
Peak positions follow from Bragg's law for the DFT cell and can differ from measured ones.

Crystal structure
```
data_CsRbAgSb
_chemical_formula_sum 'Cs4 Rb4 Ag4 Sb4'
_cell_length_a 6.8062
_cell_length_b 8.4949
_cell_length_c 11.4174
_cell_angle_alpha 90.00
_cell_angle_beta 90.00
_cell_angle_gamma 90.00
_symmetry_space_group_name_H-M 'P 1'
_symmetry_Int_Tables_number 1
loop_
_symmetry_equiv_pos_as_xyz
'x,y,z'
loop_
_atom_site_label
_atom_site_type_symbol
_atom_site_fract_x
_atom_site_fract_y
_atom_site_fract_z
Cs1 Cs 0.2500 0.1543 0.0000
Cs2 Cs 0.2500 0.6543 0.5000
Cs3 Cs 0.7500 0.3457 0.5000
Cs4 Cs 0.7500 0.8457 0.0000
Rb1 Rb 0.2500 0.1555 0.3382
Rb2 Rb 0.2500 0.6555 0.8382
Rb3 Rb 0.7500 0.3445 0.8382
Rb4 Rb 0.7500 0.8445 0.3382
Ag1 Ag 0.0000 0.0000 0.6721
Ag2 Ag 0.0000 0.5000 0.1721
Ag3 Ag 0.5000 0.0000 0.6721
Ag4 Ag 0.5000 0.5000 0.1721
Sb1 Sb 0.2500 0.2507 0.6663
Sb2 Sb 0.2500 0.7507 0.1663
Sb3 Sb 0.7500 0.2493 0.1663
Sb4 Sb 0.7500 0.7493 0.6663
```

Largest 10 diffraction maxima, by angle, 10° ≤ 2θ ≤ 90°:
(hkl), Position (°2θ), d_spacing, I_rel
0 0 2, 15.52, 5.709, 19.3
1 2 0, 24.71, 3.603, 33.3
0 1 3, 25.65, 3.473, 41.3
1 1 3, 28.86, 3.094, 100.0
2 1 1, 29.33, 3.045, 45.8
0 3 1, 32.58, 2.748, 19.5
2 2 0, 33.75, 2.656, 36.0
2 2 2, 37.34, 2.408, 20.6
0 0 6, 47.86, 1.901, 37.7
2 3 3, 48.16, 1.889, 30.5